No. 1
Theoretical X-ray diffraction stick pattern
Compound: Na6NiO4
Radiation: Cu Ka
Structure: a structure optimized by DFT (PBE+U)
Peak positions follow from Bragg's law for the DFT cell and can differ from measured ones.

Principal peaks in the range 10° ≤ 2θ ≤ 90°, sorted by position:
| 2θ/deg | d [Å] | I_rel |
| --- | --- | --- |
| 20.12 | 4.413 | 92 |
| 31.28 | 2.859 | 45 |
| 31.38 | 2.850 | 44 |
| 32.78 | 2.732 | 38 |
| 33.87 | 2.647 | 55 |
| 39.58 | 2.277 | 45 |
| 39.83 | 2.263 | 45 |
| 42.72 | 2.117 | 36 |
| 47.85 | 1.901 | 100 |
| 57.61 | 1.600 | 35 |

Cell and atoms:
```
Na6NiO4
1.0
7.460 0.000 0.000
0.000 7.513 5.464
0.000 -7.513 5.464
Na Ni O
24 4 16
direct
0.000 0.000 0.000
0.000 0.249 0.249
0.000 0.499 0.499
0.000 0.750 0.750
0.212 0.560 0.845
0.212 0.845 0.560
0.213 0.058 0.345
0.213 0.345 0.058
0.286 0.346 0.560
0.286 0.560 0.346
0.288 0.058 0.847
0.288 0.847 0.058
0.500 0.154 0.657
0.500 0.406 0.905
0.500 0.657 0.154
0.500 0.905 0.406
0.712 0.058 0.847
0.712 0.847 0.058
0.714 0.346 0.560
0.714 0.560 0.346
0.787 0.058 0.345
0.787 0.345 0.058
0.788 0.560 0.845
0.788 0.845 0.560
0.000 0.199 0.700
0.000 0.700 0.199
0.500 0.205 0.205
0.500 0.700 0.700
0.000 0.237 0.490
0.000 0.490 0.237
0.000 0.739 0.991
0.000 0.991 0.739
0.243 0.292 0.792
0.243 0.792 0.292
0.252 0.614 0.614
0.257 0.114 0.114
0.500 0.167 0.415
0.500 0.415 0.167
0.500 0.671 0.913
0.500 0.913 0.671
0.743 0.114 0.114
0.748 0.614 0.614
0.757 0.292 0.792
0.757 0.792 0.292
```

***

No. 2
Theoretical X-ray diffraction stick pattern
Compound: SrZnP2WO8
Radiation: Cu Ka
Structure: a structure optimized by DFT (PBE+U)
Peak positions follow from Bragg's law for the DFT cell and can differ from measured ones.

Principal peaks in the range 10° ≤ 2θ ≤ 90°, sorted by position:
| 2θ/deg | d [Å] | I_rel |
| --- | --- | --- |
| 10.16 | 8.706 | 100 |
| 17.37 | 5.106 | 25 |
| 26.18 | 3.404 | 18 |
| 26.95 | 3.309 | 79 |
| 28.84 | 3.096 | 44 |
| 30.16 | 2.963 | 43 |
| 31.20 | 2.867 | 43 |
| 33.57 | 2.669 | 22 |
| 40.73 | 2.215 | 23 |
| 47.95 | 1.897 | 19 |

Cell and atoms:
```
SrZnP2WO8
1.0
5.489 0.000 0.000
-2.093 7.328 0.000
-2.209 -3.187 8.706
Sr Zn P W O
2 2 4 2 16
direct
0.208 0.283 0.041
0.792 0.717 0.959
0.067 0.131 0.382
0.933 0.869 0.618
0.159 0.477 0.710
0.484 0.925 0.223
0.516 0.075 0.777
0.841 0.523 0.290
0.413 0.678 0.455
0.587 0.322 0.545
0.027 0.733 0.392
0.037 0.407 0.308
0.250 0.051 0.815
0.261 0.944 0.104
0.292 0.512 0.879
0.389 0.722 0.244
0.399 0.538 0.638
0.430 0.917 0.618
0.570 0.083 0.382
0.601 0.462 0.362
0.611 0.278 0.756
0.708 0.488 0.121
0.739 0.056 0.896
0.750 0.949 0.185
0.963 0.593 0.692
0.973 0.267 0.608
```